Record 1
Computed powder diffraction line list
Compound: Ag2RuF
Radiation: Cu Kα (weighted mean of Kα1 and Kα2)
Structure: DFT lattice parameters and positions (PBE)
Lines closer than 0.1° are merged.

Top 6 peaks for 2θ = 10–80°, by angle:
two_theta, I_rel
33.7, 34.8
36.0, 40.3
39.1, 100.0
42.5, 36.6
45.6, 52.1
46.0, 31.4

Atomic structure:
a = 5.200 Å, b = 5.200 Å, c = 8.960 Å
α = 94.83°, β = 94.83°, γ = 31.68°
Atoms (fractional coordinates):
Ag: 0.000 0.000 0.000
Ag: 0.063 0.063 0.466
Ag: 0.263 0.263 0.865
Ag: 0.525 0.525 0.731
Ru: 0.322 0.322 0.359
Ru: 0.795 0.795 0.584
F: 0.212 0.212 0.163
F: 0.468 0.468 0.210

---

Record 2
Computed powder diffraction line list
Compound: TmGa2Cu9
Radiation: Cu Kα (weighted mean of Kα1 and Kα2)
Structure: DFT lattice parameters and positions (PBE)
Lines closer than 0.1° are merged.

Top 6 peaks for 2θ = 10–80°, by angle:
two_theta, I_rel
34.8, 41.9
39.3, 100.0
40.0, 68.3
42.1, 32.0
47.1, 37.9
72.2, 27.4

Atomic structure:
a = 7.856 Å, b = 7.856 Å, c = 7.856 Å
α = 100.15°, β = 100.15°, γ = 130.36°
Atoms (fractional coordinates):
Tm: 0.375 0.625 0.750
Tm: 0.625 0.375 0.250
Ga: 0.000 0.000 0.000
Ga: 0.000 0.000 0.500
Ga: 0.000 0.500 0.000
Ga: 0.500 0.000 0.500
Cu: 0.125 0.875 0.250
Cu: 0.136 0.556 0.336
Cu: 0.136 0.800 0.579
Cu: 0.200 0.280 0.336
Cu: 0.200 0.864 0.921
Cu: 0.280 0.200 0.836
Cu: 0.280 0.444 0.079
Cu: 0.444 0.280 0.579
Cu: 0.444 0.864 0.164
Cu: 0.556 0.136 0.836
Cu: 0.556 0.720 0.421
Cu: 0.720 0.556 0.921
Cu: 0.720 0.800 0.164
Cu: 0.800 0.136 0.079
Cu: 0.800 0.720 0.664
Cu: 0.864 0.200 0.421
Cu: 0.864 0.444 0.664
Cu: 0.875 0.125 0.750

---

Record 3
Computed powder diffraction line list
Compound: KZn3Cd9
Radiation: Cu Kα (weighted mean of Kα1 and Kα2)
Structure: DFT lattice parameters and positions (PBE)
Lines closer than 0.1° are merged.

Top 6 peaks for 2θ = 10–80°, by angle:
two_theta, I_rel
35.7, 100.0
35.8, 25.4
36.0, 41.5
40.0, 35.0
40.3, 41.8
40.4, 55.7

Atomic structure:
a = 7.685 Å, b = 7.685 Å, c = 7.613 Å
α = 97.90°, β = 97.90°, γ = 136.20°
Atoms (fractional coordinates):
K: 0.000 0.000 0.000
Zn: 0.000 0.500 0.000
Zn: 0.500 0.000 0.000
Zn: 0.500 0.500 0.500
Cd: 0.000 0.000 0.500
Cd: 0.003 0.649 0.655
Cd: 0.290 0.514 0.784
Cd: 0.351 0.997 0.345
Cd: 0.486 0.710 0.216
Cd: 0.514 0.290 0.784
Cd: 0.649 0.003 0.655
Cd: 0.710 0.486 0.216
Cd: 0.997 0.351 0.345

---

Record 4
Computed powder diffraction line list
Compound: CdInAgHg
Radiation: Cu Kα (weighted mean of Kα1 and Kα2)
Structure: DFT lattice parameters and positions (PBE)
Lines closer than 0.1° are merged.

Top 6 peaks for 2θ = 10–80°, by angle:
two_theta, I_rel
34.5, 100.0
38.7, 38.1
42.8, 12.1
55.9, 12.8
59.0, 13.7
67.4, 27.7

Atomic structure:
a = 3.288 Å, b = 3.288 Å, c = 8.459 Å
α = 90.07°, β = 90.07°, γ = 90.01°
Atoms (fractional coordinates):
Cd: 0.000 0.000 0.000
In: 0.002 0.002 0.454
Ag: 0.501 0.501 0.219
Hg: 0.498 0.498 0.735